Entry 1:
# YTh
Calculated X-ray diffraction stick pattern, Cu Ka. Input: a DFT-relaxed cell (PBE, the Materials Project).
Kinematic intensities with the Lorentz-polarization factor, no thermal factor.

Most intense lines, 2θ from 10° to 90°, low angle first:
(0 0 1), 2θ 15.5, d = 5.716 Å, I = 22; (0 0 2), 2θ 31.3, d = 2.858 Å, I = 25; (1 1 1), 2θ 31.5, d = 2.838 Å, I = 100; (0 2 0), 2θ 31.7, d = 2.819 Å, I = 25; (2 0 0), 2θ 45.2, d = 2.007 Å, I = 28; (1 1 3), 2θ 55.8, d = 1.646 Å, I = 20

Structural model:
abc: 4.014 5.638 5.716
angles: 90.00 90.00 90.00
Space group Cmmm (No. 65)
Unique sites:
Y 0.000 0.000 0.000 [2 per cell]
Th 0.000 0.500 0.500 [2 per cell]

Entry 2:
# Fe2Cu3C12N12
Calculated X-ray diffraction stick pattern, Cu Ka. Input: a DFT-relaxed cell (PBE, the Materials Project).
Kinematic intensities with the Lorentz-polarization factor, no thermal factor.

Most intense lines, 2θ from 10° to 90°, low angle first:
(1 1 0), 2θ 16.8, d = 5.291 Å, I = 100; (2 0 0), 2θ 23.8, d = 3.741 Å, I = 57; (2 2 0), 2θ 33.9, d = 2.645 Å, I = 46; (3 1 0), 2θ 38.0, d = 2.366 Å, I = 23; (4 0 0), 2θ 48.7, d = 1.871 Å, I = 21; (4 2 0), 2θ 54.9, d = 1.673 Å, I = 21

Structural model:
abc: 7.481 7.481 10.586
angles: 90.00 90.00 90.00
Space group P-4m2 (No. 115)
Unique sites:
Fe 0.000 0.500 0.247 [2 per cell]
Cu 0.000 0.500 0.751 [2 per cell]
Cu 0.500 0.500 0.500 [1 per cell]
C 0.000 0.500 0.557 [2 per cell]
C 0.000 0.500 0.943 [2 per cell]
C 0.194 0.308 0.750 [8 per cell]
N 0.000 0.500 0.054 [2 per cell]
N 0.000 0.500 0.446 [2 per cell]
N 0.198 0.305 0.252 [8 per cell]

Entry 3:
# PmDyRh2
Calculated X-ray diffraction stick pattern, Cu Ka. Input: a DFT-relaxed cell (PBE, the Materials Project).
Kinematic intensities with the Lorentz-polarization factor, no thermal factor.

Most intense lines, 2θ from 10° to 90°, low angle first:
(2 0 0), 2θ 25.5, d = 3.493 Å, I = 4; (2 2 0), 2θ 36.4, d = 2.470 Å, I = 100; (4 0 0), 2θ 52.4, d = 1.746 Å, I = 17; (4 2 2), 2θ 65.5, d = 1.426 Å, I = 36; (4 4 0), 2θ 77.3, d = 1.235 Å, I = 11; (6 2 0), 2θ 88.5, d = 1.105 Å, I = 16

Structural model:
abc: 6.986 6.986 6.986
angles: 90.00 90.00 90.00
Space group Fm-3m (No. 225)
Unique sites:
Pm 0.000 0.000 0.000 [4 per cell]
Dy 0.000 0.000 0.500 [4 per cell]
Rh 0.250 0.250 0.250 [8 per cell]

Entry 4:
# Cu4Br6N4O
Calculated X-ray diffraction stick pattern, Cu Ka. Input: a DFT-relaxed cell (PBE, the Materials Project).
Kinematic intensities with the Lorentz-polarization factor, no thermal factor.

Most intense lines, 2θ from 10° to 90°, low angle first:
(1 0 1), 2θ 13.7, d = 6.454 Å, I = 66; (1 1 0), 2θ 14.3, d = 6.192 Å, I = 59; (1 1 2), 2θ 23.5, d = 3.781 Å, I = 41; (2 1 1), 2θ 24.6, d = 3.624 Å, I = 52; (2 1 2), 2θ 29.5, d = 3.028 Å, I = 100; (3 1 0), 2θ 32.3, d = 2.769 Å, I = 32

Structural model:
abc: 8.757 8.757 9.550
angles: 90.00 90.00 90.00
Space group P-42_1c (No. 114)
Unique sites:
Cu 0.069 0.166 0.117 [8 per cell]
Br 0.000 0.000 0.318 [4 per cell]
Br 0.128 0.677 0.997 [8 per cell]
N 0.131 0.316 0.227 [8 per cell]
O 0.000 0.000 0.000 [2 per cell]

Entry 5:
# IrRh3
Calculated X-ray diffraction stick pattern, Cu Ka. Input: a DFT-relaxed cell (PBE, the Materials Project).
Kinematic intensities with the Lorentz-polarization factor, no thermal factor.

Most intense lines, 2θ from 10° to 90°, low angle first:
(1 0 0), 2θ 23.1, d = 3.857 Å, I = 8; (1 1 1), 2θ 40.5, d = 2.227 Å, I = 100; (2 0 0), 2θ 47.1, d = 1.929 Å, I = 48; (2 2 0), 2θ 68.8, d = 1.364 Å, I = 31; (3 1 1), 2θ 83.0, d = 1.163 Å, I = 37; (2 2 2), 2θ 87.6, d = 1.114 Å, I = 11

Structural model:
abc: 3.857 3.857 3.857
angles: 90.00 90.00 90.00
Space group Pm-3m (No. 221)
Unique sites:
Ir 0.000 0.000 0.000 [1 per cell]
Rh 0.000 0.500 0.500 [3 per cell]